[1]
Calculated powder X-ray diffraction pattern of Na3Mn2BO6 for a wavelength of 1.5418 Å, from a PBE+U-relaxed structure.

Largest 8 diffraction maxima, in order of falling intensity, 10 to 90 degrees two-theta:
| 2theta | I (rel.) |
| --- | --- |
| 34.3 | 100 |
| 42.1 | 97 |
| 16.6 | 44 |
| 19.5 | 34 |
| 55.4 | 32 |
| 39.9 | 22 |
| 33.3 | 19 |
| 31.8 | 19 |

Structural model:
abc: 2.952 5.548 9.273
angles: 89.34 81.11 74.60
Sites, in units of the cell vectors:
1 Na 0.000 0.000 0.000
2 Na 0.347 0.983 0.329
3 Na 0.653 0.017 0.671
4 Mn 0.192 0.469 0.151
5 Mn 0.808 0.531 0.849
6 B 0.000 0.500 0.500
7 O 0.076 0.286 0.555
8 O 0.234 0.740 0.786
9 O 0.392 0.308 0.905
10 O 0.608 0.692 0.095
11 O 0.766 0.260 0.214
12 O 0.924 0.714 0.445



[2]
Calculated powder X-ray diffraction pattern of Na6Mn2B4PO16 for a wavelength of 1.5418 Å, from a PBE+U-relaxed structure.

Largest 8 diffraction maxima, in order of falling intensity, 10 to 90 degrees two-theta:
| 2theta | I (rel.) |
| --- | --- |
| 21.1 | 100 |
| 33.4 | 89 |
| 36.5 | 59 |
| 11.0 | 44 |
| 57.2 | 29 |
| 46.5 | 28 |
| 22.1 | 26 |
| 38.2 | 18 |

Structural model:
abc: 9.860 9.860 9.860
angles: 60.00 60.00 60.00
Sites, in units of the cell vectors:
1 Na 0.090 0.090 0.660
2 Na 0.090 0.660 0.090
3 Na 0.090 0.660 0.660
4 Na 0.340 0.340 0.910
5 Na 0.340 0.910 0.340
6 Na 0.340 0.910 0.910
7 Na 0.660 0.090 0.090
8 Na 0.660 0.090 0.660
9 Na 0.660 0.660 0.090
10 Na 0.910 0.340 0.340
11 Na 0.910 0.340 0.910
12 Na 0.910 0.910 0.340
13 Mn 0.000 0.500 0.500
14 Mn 0.500 0.000 0.500
15 Mn 0.500 0.500 0.000
16 Mn 0.500 0.500 0.500
17 B 0.289 0.289 0.289
18 B 0.289 0.289 0.632
19 B 0.289 0.632 0.289
20 B 0.368 0.711 0.711
21 B 0.632 0.289 0.289
22 B 0.711 0.368 0.711
23 B 0.711 0.711 0.368
24 B 0.711 0.711 0.711
25 P 0.125 0.125 0.125
26 P 0.875 0.875 0.875
27 O 0.061 0.061 0.061
28 O 0.061 0.061 0.318
29 O 0.061 0.318 0.061
30 O 0.134 0.318 0.639
31 O 0.134 0.409 0.318
32 O 0.134 0.639 0.409
33 O 0.318 0.061 0.061
34 O 0.318 0.134 0.409
35 O 0.318 0.409 0.639
36 O 0.318 0.639 0.134
37 O 0.361 0.591 0.866
38 O 0.361 0.682 0.591
39 O 0.361 0.866 0.682
40 O 0.409 0.134 0.639
41 O 0.409 0.318 0.134
42 O 0.409 0.639 0.318
43 O 0.591 0.361 0.682
44 O 0.591 0.682 0.866
45 O 0.591 0.866 0.361
46 O 0.639 0.134 0.318
47 O 0.639 0.318 0.409
48 O 0.639 0.409 0.134
49 O 0.682 0.361 0.866
50 O 0.682 0.591 0.361
51 O 0.682 0.866 0.591
52 O 0.682 0.939 0.939
53 O 0.866 0.361 0.591
54 O 0.866 0.591 0.682
55 O 0.866 0.682 0.361
56 O 0.939 0.682 0.939
57 O 0.939 0.939 0.682
58 O 0.939 0.939 0.939



[3]
Calculated powder X-ray diffraction pattern of Na3MnSiBO7 for a wavelength of 1.5418 Å, from a PBE+U-relaxed structure.

Largest 8 diffraction maxima, in order of falling intensity, 10 to 90 degrees two-theta:
| 2theta | I (rel.) |
| --- | --- |
| 34.2 | 100 |
| 33.8 | 89 |
| 27.6 | 89 |
| 33.9 | 75 |
| 16.9 | 60 |
| 19.9 | 53 |
| 57.0 | 43 |
| 49.6 | 40 |

Structural model:
abc: 5.292 6.467 8.953
angles: 90.00 92.61 90.00
Sites, in units of the cell vectors:
1 Na 0.231 0.250 0.083
2 Na 0.255 0.511 0.737
3 Na 0.255 0.989 0.737
4 Na 0.745 0.011 0.263
5 Na 0.745 0.489 0.263
6 Na 0.769 0.750 0.917
7 Mn 0.216 0.750 0.334
8 Mn 0.784 0.250 0.666
9 Si 0.278 0.250 0.430
10 Si 0.722 0.750 0.570
11 B 0.278 0.750 0.068
12 B 0.722 0.250 0.932
13 O 0.041 0.750 0.133
14 O 0.112 0.250 0.578
15 O 0.212 0.052 0.318
16 O 0.212 0.448 0.318
17 O 0.317 0.750 0.922
18 O 0.416 0.750 0.522
19 O 0.469 0.750 0.183
20 O 0.531 0.250 0.817
21 O 0.584 0.250 0.478
22 O 0.683 0.250 0.078
23 O 0.788 0.552 0.682
24 O 0.788 0.948 0.682
25 O 0.888 0.750 0.422
26 O 0.959 0.250 0.867